No. 1
Pr4Zn2H: calculated powder diffraction line list (copper Kα), based on a DFT-relaxed cell (GGA-PBE, Alexandria).

Structural model:
a = 4.8877 Å, b = 4.8877 Å, c = 15.3402 Å
α = 90.00°, β = 90.00°, γ = 90.00°
Sites, in units of the cell vectors:
Pr 0.0000 0.0000 0.1869
Pr 0.0000 0.0000 0.8131
Pr 0.0000 0.5000 0.0000
Pr 0.0000 0.5000 0.5000
Pr 0.5000 0.0000 0.0000
Pr 0.5000 0.0000 0.5000
Pr 0.5000 0.5000 0.3131
Pr 0.5000 0.5000 0.6869
Zn 0.0000 0.0000 0.3762
Zn 0.0000 0.0000 0.6238
Zn 0.5000 0.5000 0.1238
Zn 0.5000 0.5000 0.8762
H 0.0000 0.0000 0.0000
H 0.5000 0.5000 0.5000

Most intense lines, 15 to 90 degrees two-theta, sorted by position:
2θ 25.21, I = 15; 2θ 28.32, I = 100; 2θ 34.52, I = 35; 2θ 34.95, I = 46; 2θ 36.78, I = 55; 2θ 51.32, I = 22; 2θ 51.75, I = 19; 2θ 52.99, I = 19; 2θ 61.17, I = 23; 2θ 65.10, I = 24

---

No. 2
Pr6Zn2H: calculated powder diffraction line list (copper Kα), based on a DFT-relaxed cell (GGA-PBE, Alexandria).

Structural model:
a = 6.5637 Å, b = 7.0404 Å, c = 12.1598 Å
α = 90.00°, β = 115.67°, γ = 90.00°
Sites, in units of the cell vectors:
Pr 0.1249 0.0124 0.2624
Pr 0.1249 0.4876 0.7624
Pr 0.2068 0.6939 0.0537
Pr 0.2068 0.8061 0.5537
Pr 0.3562 0.1918 0.0374
Pr 0.3562 0.3082 0.5374
Pr 0.6438 0.6918 0.4626
Pr 0.6438 0.8082 0.9626
Pr 0.7932 0.1939 0.4463
Pr 0.7932 0.3061 0.9463
Pr 0.8751 0.5124 0.2376
Pr 0.8751 0.9876 0.7376
Zn 0.3634 0.0980 0.7660
Zn 0.3634 0.4020 0.2660
Zn 0.6365 0.5980 0.7340
Zn 0.6365 0.9020 0.2340
H 0.0000 0.0000 0.0000
H 0.0000 0.5000 0.5000

Most intense lines, 15 to 90 degrees two-theta, sorted by position:
2θ 26.53, I = 18; 2θ 29.41, I = 32; 2θ 30.19, I = 100; 2θ 30.44, I = 41; 2θ 32.14, I = 43; 2θ 32.40, I = 23; 2θ 32.68, I = 24; 2θ 32.84, I = 25; 2θ 36.01, I = 15; 2θ 40.87, I = 14

---

No. 3
HPt8: calculated powder diffraction line list (copper Kα), based on a DFT-relaxed cell (GGA-PBE, Alexandria).

Structural model:
a = 5.5589 Å, b = 5.5589 Å, c = 4.8175 Å
α = 90.00°, β = 90.00°, γ = 120.00°
Sites, in units of the cell vectors:
H 0.0000 0.0000 0.0000
Pt 0.1688 0.3376 0.7457
Pt 0.1688 0.8312 0.7457
Pt 0.3333 0.6667 0.2473
Pt 0.3376 0.1688 0.2543
Pt 0.6624 0.8312 0.7457
Pt 0.6667 0.3333 0.7527
Pt 0.8312 0.1688 0.2543
Pt 0.8312 0.6624 0.2543

Most intense lines, 15 to 90 degrees two-theta, sorted by position:
2θ 37.34, I = 53; 2θ 41.96, I = 100; 2θ 53.84, I = 16; 2θ 67.38, I = 17; 2θ 70.49, I = 22; 2θ 79.64, I = 27; 2θ 82.63, I = 15

---

No. 4
H2Pt3: calculated powder diffraction line list (copper Kα), based on a DFT-relaxed cell (GGA-PBE, Alexandria).

Structural model:
a = 4.9887 Å, b = 4.9887 Å, c = 5.0530 Å
α = 93.77°, β = 93.77°, γ = 118.97°
Sites, in units of the cell vectors:
H 0.0828 0.9172 0.5000
H 0.2331 0.7268 0.0092
H 0.7268 0.2331 0.5092
H 0.9172 0.0828 0.0000
Pt 0.0926 0.5823 0.6500
Pt 0.2641 0.4191 0.1712
Pt 0.4191 0.2641 0.6712
Pt 0.5823 0.0926 0.1500
Pt 0.7336 0.8989 0.6468
Pt 0.8989 0.7336 0.1468

Most intense lines, 15 to 90 degrees two-theta, sorted by position:
2θ 35.80, I = 100; 2θ 39.38, I = 78; 2θ 41.54, I = 66; 2θ 47.85, I = 22; 2θ 55.02, I = 14; 2θ 65.12, I = 27; 2θ 65.25, I = 18; 2θ 69.68, I = 14; 2θ 69.80, I = 14; 2θ 76.59, I = 22

---

No. 5
HPt3: calculated powder diffraction line list (copper Kα), based on a DFT-relaxed cell (GGA-PBE, Alexandria).

Structural model:
a = 2.7774 Å, b = 4.8168 Å, c = 7.5894 Å
α = 90.00°, β = 90.00°, γ = 90.00°
Sites, in units of the cell vectors:
H 0.0000 0.0000 0.0000
H 0.5000 0.5000 0.5000
Pt 0.0000 0.0000 0.5000
Pt 0.0000 0.5000 0.3177
Pt 0.0000 0.5000 0.6823
Pt 0.5000 0.0000 0.1823
Pt 0.5000 0.0000 0.8177
Pt 0.5000 0.5000 0.0000

Most intense lines, 15 to 90 degrees two-theta, sorted by position:
2θ 34.38, I = 60; 2θ 37.34, I = 80; 2θ 40.27, I = 100; 2θ 44.59, I = 97; 2θ 51.66, I = 39; 2θ 69.32, I = 21; 2θ 72.41, I = 23; 2θ 79.67, I = 23; 2θ 81.57, I = 27; 2θ 82.82, I = 22

---

No. 6
HPt: calculated powder diffraction line list (copper Kα), based on a DFT-relaxed cell (GGA-PBE, Alexandria).

Structural model:
a = 7.1438 Å, b = 7.1438 Å, c = 2.8619 Å
α = 90.00°, β = 90.00°, γ = 120.00°
Sites, in units of the cell vectors:
H 0.1262 0.2931 0.2500
H 0.1669 0.8738 0.2500
H 0.2931 0.1669 0.7500
H 0.7069 0.8331 0.2500
H 0.8331 0.1262 0.7500
H 0.8738 0.7069 0.7500
Pt 0.1139 0.6910 0.7500
Pt 0.3090 0.4229 0.7500
Pt 0.4229 0.1139 0.2500
Pt 0.5771 0.8861 0.7500
Pt 0.6910 0.5771 0.2500
Pt 0.8861 0.3090 0.2500

Most intense lines, 15 to 90 degrees two-theta, sorted by position:
2θ 24.93, I = 20; 2θ 34.53, I = 38; 2θ 38.50, I = 100; 2θ 40.38, I = 58; 2θ 43.06, I = 21; 2θ 50.39, I = 29; 2θ 69.02, I = 20; 2θ 69.64, I = 12; 2θ 74.64, I = 15; 2θ 78.34, I = 29

---

No. 7
Pu2H3Pt2: calculated powder diffraction line list (copper Kα), based on a DFT-relaxed cell (GGA-PBE, Alexandria).

Structural model:
a = 6.2621 Å, b = 6.2621 Å, c = 6.2621 Å
α = 115.25°, β = 113.58°, γ = 99.99°
Sites, in units of the cell vectors:
Pu 0.9997 0.0310 0.0016
Pu 0.5003 0.5019 0.0313
Pu 0.5294 0.9981 0.4984
Pu 0.9706 0.4690 0.4687
H 0.0021 0.2521 0.7500
H 0.2293 0.7500 0.9793
H 0.2500 0.5286 0.2786
H 0.2707 0.2500 0.5207
H 0.4979 0.2479 0.2500
H 0.7500 0.9714 0.2214
Pt 0.0338 0.9715 0.4929
Pt 0.4662 0.9591 0.9376
Pt 0.5215 0.5285 0.5624
Pt 0.9785 0.5409 0.0071

Most intense lines, 15 to 90 degrees two-theta, sorted by position:
2θ 34.35, I = 100; 2θ 34.82, I = 93; 2θ 37.51, I = 72; 2θ 45.04, I = 25; 2θ 53.42, I = 13; 2θ 54.75, I = 10; 2θ 60.01, I = 35; 2θ 65.37, I = 23; 2θ 66.25, I = 20; 2θ 72.37, I = 12

---

No. 8
Pu5HPt3: calculated powder diffraction line list (copper Kα), based on a DFT-relaxed cell (GGA-PBE, Alexandria).

Structural model:
a = 8.5273 Å, b = 8.5273 Å, c = 8.5273 Å
α = 126.84°, β = 126.84°, γ = 78.51°
Sites, in units of the cell vectors:
Pu 0.0000 0.0000 0.0000
Pu 0.0194 0.5194 0.8396
Pu 0.1798 0.0194 0.5000
Pu 0.3202 0.8202 0.8396
Pu 0.4806 0.3202 0.5000
Pu 0.5000 0.5000 0.0000
Pu 0.5194 0.6798 0.5000
Pu 0.6798 0.1798 0.1604
Pu 0.8202 0.9806 0.5000
Pu 0.9806 0.4806 0.1604
H 0.2500 0.7500 0.5000
H 0.7500 0.2500 0.5000
Pt 0.1290 0.3710 0.5000
Pt 0.2500 0.2500 0.0000
Pt 0.3710 0.8710 0.2420
Pt 0.6290 0.1290 0.7580
Pt 0.7500 0.7500 0.0000
Pt 0.8710 0.6290 0.5000

Most intense lines, 15 to 90 degrees two-theta, sorted by position:
2θ 33.22, I = 100; 2θ 35.97, I = 27; 2θ 37.26, I = 43; 2θ 41.01, I = 10; 2θ 53.72, I = 21; 2θ 55.67, I = 10; 2θ 58.43, I = 10; 2θ 68.90, I = 15; 2θ 69.73, I = 20; 2θ 85.75, I = 10

---

No. 9
Pu3H2Pt: calculated powder diffraction line list (copper Kα), based on a DFT-relaxed cell (GGA-PBE, Alexandria).

Structural model:
a = 7.4898 Å, b = 7.4898 Å, c = 4.4240 Å
α = 90.00°, β = 90.00°, γ = 113.50°
Sites, in units of the cell vectors:
Pu 0.1012 0.8988 0.7500
Pu 0.1684 0.4364 0.7500
Pu 0.4364 0.1684 0.2500
Pu 0.5636 0.8316 0.7500
Pu 0.8316 0.5636 0.2500
Pu 0.8988 0.1012 0.2500
H 0.1809 0.1809 0.0000
H 0.1809 0.1809 0.5000
H 0.8191 0.8191 0.0000
H 0.8191 0.8191 0.5000
Pt 0.2695 0.7305 0.2500
Pt 0.7305 0.2695 0.7500

Most intense lines, 15 to 90 degrees two-theta, sorted by position:
2θ 28.50, I = 20; 2θ 31.41, I = 66; 2θ 33.02, I = 100; 2θ 33.50, I = 21; 2θ 39.36, I = 26; 2θ 40.79, I = 28; 2θ 49.30, I = 12; 2θ 53.77, I = 14; 2θ 64.49, I = 17; 2θ 69.35, I = 13

---

No. 10
PuH4Pt: calculated powder diffraction line list (copper Kα), based on a DFT-relaxed cell (GGA-PBE, Alexandria).

Structural model:
a = 4.6309 Å, b = 4.6309 Å, c = 7.2888 Å
α = 106.22°, β = 106.22°, γ = 58.26°
Sites, in units of the cell vectors:
Pu 0.2191 0.7809 0.7500
Pu 0.7809 0.2191 0.2500
H 0.1503 0.2674 0.6096
H 0.2647 0.6706 0.0824
H 0.2674 0.1503 0.1096
H 0.3294 0.7353 0.4176
H 0.6706 0.2647 0.5824
H 0.7326 0.8497 0.8904
H 0.7353 0.3294 0.9176
H 0.8497 0.7326 0.3904
Pt 0.0000 0.5000 0.0000
Pt 0.5000 0.0000 0.5000

Most intense lines, 15 to 90 degrees two-theta, sorted by position:
2θ 28.11, I = 100; 2θ 28.74, I = 48; 2θ 38.96, I = 43; 2θ 39.99, I = 19; 2θ 40.36, I = 20; 2θ 42.26, I = 36; 2θ 47.44, I = 13; 2θ 49.99, I = 20; 2θ 58.13, I = 13; 2θ 74.16, I = 12

---

No. 11
Pu3H4Pt2: calculated powder diffraction line list (copper Kα), based on a DFT-relaxed cell (GGA-PBE, Alexandria).

Structural model:
a = 5.8988 Å, b = 5.8988 Å, c = 5.8988 Å
α = 137.13°, β = 106.34°, γ = 89.19°
Sites, in units of the cell vectors:
Pu 0.0000 0.0000 0.0000
Pu 0.2944 0.7944 0.5000
Pu 0.7056 0.2056 0.5000
H 0.1184 0.2942 0.8242
H 0.4701 0.2942 0.1758
H 0.5299 0.7058 0.8242
H 0.8816 0.7058 0.1758
Pt 0.2958 0.5000 0.7958
Pt 0.7042 0.5000 0.2042

Most intense lines, 15 to 90 degrees two-theta, sorted by position:
2θ 32.34, I = 100; 2θ 33.11, I = 20; 2θ 34.49, I = 91; 2θ 38.33, I = 14; 2θ 41.91, I = 27; 2θ 43.07, I = 15; 2θ 50.61, I = 21; 2θ 65.17, I = 27; 2θ 67.74, I = 18; 2θ 74.06, I = 18

---

No. 12
PuH8Pt2Rh: calculated powder diffraction line list (copper Kα), based on a DFT-relaxed cell (GGA-PBE, Alexandria).

Structural model:
a = 4.9858 Å, b = 4.9858 Å, c = 5.7123 Å
α = 90.00°, β = 90.00°, γ = 120.00°
Sites, in units of the cell vectors:
Pu 0.0000 0.0000 0.0000
H 0.1775 0.3550 0.3493
H 0.1775 0.8225 0.3493
H 0.3333 0.6667 0.8591
H 0.3550 0.1775 0.6507
H 0.6450 0.8225 0.3493
H 0.6667 0.3333 0.1409
H 0.8225 0.1775 0.6507
H 0.8225 0.6450 0.6507
Pt 0.3333 0.6667 0.1442
Pt 0.6667 0.3333 0.8558
Rh 0.0000 0.0000 0.5000

Most intense lines, 15 to 90 degrees two-theta, sorted by position:
2θ 15.51, I = 62; 2θ 20.57, I = 17; 2θ 25.87, I = 61; 2θ 36.03, I = 100; 2θ 37.76, I = 84; 2θ 39.44, I = 41; 2θ 53.18, I = 33; 2θ 64.77, I = 19; 2θ 65.92, I = 34; 2θ 88.54, I = 20

---

Which formula does entry 11 have? Pu3H4Pt2